The following is a theoretical powder X-ray diffraction pattern of Ac2PmP3. It was derived from a cell relaxed with PBE, using copper Kα.

Atomic structure:
```
Ac2PmP3
1.0
0.000 6.147 13.037
4.347 0.000 13.037
4.347 6.147 0.000
Ac Pm P
8 4 12
Cartesian
1.087 1.537 1.095
3.260 4.611 3.247
1.087 1.537 5.424
5.433 7.684 9.766
3.260 4.611 16.309
7.607 10.758 20.651
5.433 7.684 22.828
7.607 10.758 24.980
3.260 4.611 7.601
3.260 4.611 11.955
5.433 7.684 14.119
5.433 7.684 18.474
3.311 1.606 7.547
5.329 4.611 9.778
3.209 1.606 12.009
5.382 4.680 14.066
7.503 7.684 16.297
5.484 4.680 18.528
3.209 7.615 7.547
1.191 4.611 9.778
3.311 7.615 12.009
5.484 10.689 14.066
3.364 7.684 16.297
5.382 10.689 18.528
```

The 6 most intense peaks (10° ≤ 2θ ≤ 80°), by intensity:
2θ = 29.05°, I 100
2θ = 25.09°, I 99
2θ = 41.55°, I 76
2θ = 49.16°, I 52
2θ = 68.23°, I 35
2θ = 51.50°, I 27

The following is a theoretical powder X-ray diffraction pattern of AcPPt3. It was derived from a cell relaxed with PBE, using copper Kα.

Atomic structure:
```
AcPPt3
1.0
4.194 0.000 0.000
0.000 4.194 0.000
0.000 0.000 11.036
Ac P Pt
2 2 6
Cartesian
0.000 0.000 0.000
2.097 2.097 5.518
0.000 0.000 4.035
2.097 2.097 9.554
0.000 0.000 6.386
0.000 2.097 2.838
0.000 2.097 8.356
2.097 0.000 2.838
2.097 0.000 8.356
2.097 2.097 0.868
```

The 6 most intense peaks (10° ≤ 2θ ≤ 80°), by intensity:
2θ = 34.33°, I 100
2θ = 32.41°, I 35
2θ = 43.14°, I 35
2θ = 54.98°, I 24
2θ = 73.43°, I 23
2θ = 46.49°, I 14

The following is a theoretical powder X-ray diffraction pattern of RbAcP2Pt4. It was derived from a cell relaxed with PBE, using copper Kα.

Atomic structure:
```
RbAcP2Pt4
1.0
4.188 0.000 0.000
0.000 4.188 0.000
0.000 0.000 11.133
Rb Ac P Pt
1 1 2 4
Cartesian
0.000 0.000 0.000
0.000 0.000 5.567
2.094 2.094 2.163
2.094 2.094 8.970
0.000 2.094 3.214
0.000 2.094 7.919
2.094 0.000 3.214
2.094 0.000 7.919
```

The 6 most intense peaks (10° ≤ 2θ ≤ 80°), by intensity:
2θ = 34.30°, I 100
2θ = 38.90°, I 47
2θ = 43.21°, I 39
2θ = 15.92°, I 32
2θ = 26.64°, I 28
2θ = 73.51°, I 23

The following is a theoretical powder X-ray diffraction pattern of Ac2PPt6Rh. It was derived from a cell relaxed with PBE, using copper Kα.

Atomic structure:
```
Ac2PPt6Rh
1.0
5.853 -2.769 0.000
5.853 2.769 0.000
-5.311 0.000 6.502
Ac P Pt Rh
2 1 6 1
Cartesian
1.666 0.000 1.180
4.729 0.000 5.322
-2.655 0.000 3.251
1.901 1.357 4.655
-0.388 0.000 4.022
4.494 1.357 1.847
1.901 -1.357 4.655
6.783 0.000 2.481
4.494 -1.357 1.847
5.853 0.000 0.000
```

The 6 most intense peaks (10° ≤ 2θ ≤ 80°), by intensity:
2θ = 38.09°, I 100
2θ = 39.04°, I 70
2θ = 39.77°, I 56
2θ = 30.66°, I 48
2θ = 27.71°, I 43
2θ = 27.43°, I 39

The following is a theoretical powder X-ray diffraction pattern of Ac2SbPPt6. It was derived from a cell relaxed with PBE, using copper Kα.

Atomic structure:
```
Ac2SbPPt6
1.0
-3.136 3.136 5.426
3.136 -3.136 5.426
3.136 3.136 -5.426
Ac Sb P Pt
2 1 1 6
Cartesian
3.136 0.000 0.000
0.000 3.136 0.000
0.000 0.000 3.565
0.000 0.000 9.328
0.000 0.000 0.784
1.702 1.702 2.560
1.434 -1.434 7.986
0.000 0.000 6.087
-1.434 1.434 7.986
1.434 1.434 7.986
```

The 6 most intense peaks (10° ≤ 2θ ≤ 80°), by intensity:
2θ = 32.99°, I 100
2θ = 40.69°, I 38
2θ = 69.19°, I 26
2θ = 58.92°, I 21
2θ = 44.13°, I 21
2θ = 38.91°, I 16

The following is a theoretical powder X-ray diffraction pattern of AcSmP2Pt2. It was derived from a cell relaxed with PBE, using copper Kα.

Atomic structure:
```
AcSmP2Pt2
1.0
4.226 0.000 0.000
-2.113 3.660 0.000
0.000 0.000 8.311
Ac Sm P Pt
1 1 2 2
Cartesian
0.000 0.000 0.000
0.000 0.000 4.156
0.000 2.440 2.206
2.113 1.220 6.105
0.000 2.440 6.121
2.113 1.220 2.190
```

The 6 most intense peaks (10° ≤ 2θ ≤ 80°), by intensity:
2θ = 32.60°, I 100
2θ = 42.80°, I 45
2θ = 26.61°, I 40
2θ = 62.71°, I 28
2θ = 54.82°, I 23
2θ = 71.95°, I 21

The following is a theoretical powder X-ray diffraction pattern of Ac8Te4PPt3. It was derived from a cell relaxed with PBE, using copper Kα.

Atomic structure:
```
Ac8Te4PPt3
1.0
4.493 2.594 7.962
-4.493 2.594 7.962
0.000 -5.188 7.962
Ac Te P Pt
8 4 1 3
Cartesian
-2.270 -1.311 13.659
0.000 0.000 5.663
0.000 -2.621 10.228
-2.270 1.311 10.228
2.270 -1.311 13.659
0.000 2.621 13.659
0.000 0.000 18.224
2.270 1.311 10.228
0.000 0.000 0.000
-2.247 -1.297 7.962
-2.247 1.297 15.925
0.000 2.594 7.962
0.000 0.000 11.944
-4.493 0.000 11.944
-2.247 1.297 3.981
2.247 1.297 3.981
```

The 6 most intense peaks (10° ≤ 2θ ≤ 80°), by intensity:
2θ = 27.36°, I 100
2θ = 40.14°, I 39
2θ = 37.98°, I 36
2θ = 49.26°, I 20
2θ = 65.34°, I 18
2θ = 62.32°, I 13

The following is a theoretical powder X-ray diffraction pattern of AcTl2P2Pt7. It was derived from a cell relaxed with PBE, using copper Kα.

Atomic structure:
```
AcTl2P2Pt7
1.0
2.886 -2.882 0.000
2.886 2.882 0.000
-2.803 0.000 15.181
Ac Tl P Pt
1 2 2 7
Cartesian
0.000 0.000 0.000
0.004 0.000 6.354
2.965 0.000 8.827
0.092 0.000 11.532
2.878 0.000 3.649
1.438 1.442 2.450
0.081 0.000 9.298
1.532 1.442 12.731
2.886 0.000 0.000
1.438 -1.442 2.450
2.889 0.000 5.883
1.532 -1.442 12.731
```

The 6 most intense peaks (10° ≤ 2θ ≤ 80°), by intensity:
2θ = 35.88°, I 100
2θ = 44.43°, I 84
2θ = 33.26°, I 66
2θ = 29.42°, I 60
2θ = 31.58°, I 41
2θ = 35.73°, I 36

The following is a theoretical powder X-ray diffraction pattern of AcPuP2. It was derived from a cell relaxed with PBE, using copper Kα.

Atomic structure:
```
AcPuP2
1.0
4.136 0.000 0.000
-2.068 3.582 0.000
0.000 0.000 21.915
Ac Pu P
3 3 6
Cartesian
0.000 0.000 0.000
0.000 2.388 14.610
2.068 1.194 7.305
0.000 0.000 18.170
0.000 2.388 10.865
2.068 1.194 3.560
0.000 0.000 9.194
0.000 0.000 12.540
0.000 2.388 1.888
0.000 2.388 5.235
2.068 1.194 16.499
2.068 1.194 19.845
```

The 6 most intense peaks (10° ≤ 2θ ≤ 80°), by intensity:
2θ = 25.19°, I 100
2θ = 32.28°, I 92
2θ = 43.77°, I 54
2θ = 38.18°, I 53
2θ = 24.37°, I 47
2θ = 26.17°, I 44

The following is a theoretical powder X-ray diffraction pattern of Ac2P3Rh6. It was derived from a cell relaxed with PBE, using copper Kα.

Atomic structure:
```
Ac2P3Rh6
1.0
7.296 0.000 0.000
-3.648 6.318 0.000
0.000 0.000 4.334
Ac P Rh
2 3 6
Cartesian
0.000 4.212 0.000
3.648 2.106 0.000
-1.331 2.305 2.167
2.661 0.000 2.167
2.317 4.013 2.167
-0.783 1.357 0.000
-2.629 4.554 2.167
1.566 0.000 0.000
1.019 1.764 2.167
5.259 0.000 2.167
2.865 4.962 0.000
```

The 6 most intense peaks (10° ≤ 2θ ≤ 80°), by intensity:
2θ = 32.07°, I 100
2θ = 43.26°, I 51
2θ = 37.67°, I 26
2θ = 42.94°, I 26
2θ = 41.68°, I 25
2θ = 71.85°, I 23

The following is a theoretical powder X-ray diffraction pattern of Ac3P4Rh4. It was derived from a cell relaxed with PBE, using copper Kα.

Atomic structure:
```
Ac3P4Rh4
1.0
-2.097 2.103 12.456
2.097 -2.103 12.456
2.097 2.103 -12.456
Ac P Rh
3 4 4
Cartesian
0.000 0.000 0.000
2.097 0.000 3.618
0.000 2.103 8.838
2.097 0.000 7.578
0.000 0.000 11.225
0.000 0.000 13.686
0.000 2.103 4.877
0.000 0.000 6.162
2.097 0.000 10.003
0.000 2.103 2.453
0.000 0.000 18.750
```

The 6 most intense peaks (10° ≤ 2θ ≤ 80°), by intensity:
2θ = 33.43°, I 100
2θ = 32.98°, I 39
2θ = 23.76°, I 27
2θ = 43.02°, I 18
2θ = 43.14°, I 18
2θ = 55.33°, I 18

The following is a theoretical powder X-ray diffraction pattern of Ac4PRhS2. It was derived from a cell relaxed with PBE, using copper Kα.

Atomic structure:
```
Ac4PRhS2
1.0
7.611 0.000 0.000
0.000 4.316 0.000
-2.374 0.000 7.244
Ac P Rh S
4 1 1 2
Cartesian
1.217 0.000 1.831
0.063 2.158 5.387
5.174 2.158 1.858
4.020 0.000 5.413
0.000 2.158 0.000
-1.187 0.000 3.622
3.806 0.000 0.000
2.619 2.158 3.622
```

The 6 most intense peaks (10° ≤ 2θ ≤ 80°), by intensity:
2θ = 28.75°, I 100
2θ = 41.26°, I 75
2θ = 24.60°, I 55
2θ = 25.18°, I 53
2θ = 28.95°, I 49
2θ = 49.13°, I 28